1.
Structure and theoretical powder diffraction line list of Mg2Fe3MoS8 (the GGA-PBE geometry in Alexandria; λ = 1.5418 Å (Cu Kα)).

a = 7.0800 Å, b = 7.0800 Å, c = 17.2705 Å
α = 90.00°, β = 90.00°, γ = 120.00°
Space group R-3m (No. 166, hexagonal axes)
Unique sites:
Mg1 0.0000 0.0000 0.1266 x6
Fe1 0.0000 0.5000 0.0000 x9
Mo1 0.0000 0.0000 0.5000 x3
S1 0.0000 0.0000 0.2681 x6
S2 0.0321 0.5161 0.2611 x18

Largest 12 diffraction maxima, in order of rising 2θ, 15 to 90 degrees two-theta:
(1 0 1), 15.34°, intensity 1000; (1 1 0), 25.16°, intensity 112; (1 1 3), 29.64°, intensity 802; (0 2 4), 35.93°, intensity 932; (0 3 3), 47.21°, intensity 399; (0 2 7), 47.29°, intensity 120; (2 2 0), 51.64°, intensity 449; (2 0 8), 51.79°, intensity 388; (4 0 4), 64.51°, intensity 134; (4 1 3), 72.55°, intensity 115; (0 4 8), 76.17°, intensity 107; (2 4 4), 87.08°, intensity 108


2.
Structure and theoretical powder diffraction line list of Mg2FeMo3S8 (the GGA-PBE geometry in Alexandria; λ = 1.5418 Å (Cu Kα)).

a = 7.4220 Å, b = 7.4220 Å, c = 17.6452 Å
α = 90.00°, β = 90.00°, γ = 120.00°
Space group R-3m (No. 166, hexagonal axes)
Unique sites:
Mg1 0.0000 0.0000 0.1208 x6
Fe1 0.0000 0.0000 0.5000 x3
Mo1 0.0000 0.5000 0.0000 x9
S1 0.0000 0.0000 0.2597 x6
S2 0.0316 0.5158 0.2530 x18

Largest 12 diffraction maxima, in order of rising 2θ, 15 to 90 degrees two-theta:
(0 0 3), 15.06°, intensity 426; (0 2 1), 28.22°, intensity 387; (1 1 3), 28.44°, intensity 363; (0 1 5), 28.86°, intensity 181; (0 2 4), 34.53°, intensity 1000; (1 2 5), 45.32°, intensity 198; (0 2 7), 45.74°, intensity 142; (2 2 0), 49.10°, intensity 463; (2 0 8), 50.16°, intensity 438; (4 0 4), 61.41°, intensity 155; (0 4 8), 72.82°, intensity 130; (2 2 12), 83.97°, intensity 131


3.
Structure and theoretical powder diffraction line list of Mg8Fe3N8 (the GGA-PBE geometry in Alexandria; λ = 1.5418 Å (Cu Kα)).

a = 16.472 Å, b = 4.360 Å, c = 6.617 Å
α = 90.00°, β = 105.96°, γ = 90.00°
Space group C2/m (No. 12)
Unique sites:
Mg1 0.031 0.000 0.244 x4
Mg2 0.089 0.500 0.966 x4
Mg3 0.163 0.500 0.465 x4
Mg4 0.190 0.000 0.794 x4
Fe1 0.000 0.500 0.500 x2
Fe2 0.191 0.000 0.208 x4
N1 0.034 0.500 0.256 x4
N2 0.101 0.000 0.986 x4
N3 0.174 0.000 0.456 x4
N4 0.205 0.500 0.816 x4

Largest 12 diffraction maxima, in order of rising 2θ, 15 to 90 degrees two-theta:
(2 0 1), 20.17°, intensity 262; (1 1 -1), 24.52°, intensity 935; (3 1 0), 26.51°, intensity 682; (6 0 0), 33.96°, intensity 297; (5 1 -1), 34.71°, intensity 248; (1 1 2), 36.65°, intensity 636; (5 1 -2), 39.97°, intensity 320; (6 0 1), 40.44°, intensity 357; (0 2 0), 41.42°, intensity 1000; (7 1 -1), 43.84°, intensity 237; (6 0 -3), 46.99°, intensity 442; (6 2 -3), 64.42°, intensity 245


4.
Structure and theoretical powder diffraction line list of Mg9Fe2N8 (the GGA-PBE geometry in Alexandria; λ = 1.5418 Å (Cu Kα)).

a = 16.004 Å, b = 4.332 Å, c = 7.015 Å
α = 90.00°, β = 107.78°, γ = 90.00°
Space group C2/m (No. 12)
Unique sites:
Mg1 0.000 0.000 0.000 x2
Mg2 0.043 0.500 0.714 x4
Mg3 0.090 0.000 0.455 x4
Mg4 0.166 0.500 0.241 x4
Mg5 0.171 0.000 0.932 x4
Fe1 0.210 0.500 0.694 x4
N1 0.037 0.000 0.752 x4
N2 0.107 0.500 0.483 x4
N3 0.170 0.000 0.241 x4
N4 0.180 0.500 0.918 x4

Largest 12 diffraction maxima, in order of rising 2θ, 15 to 90 degrees two-theta:
(1 1 -1), 24.21°, intensity 487; (0 0 2), 26.69°, intensity 102; (3 1 0), 27.05°, intensity 194; (3 1 -1), 27.71°, intensity 112; (4 0 -2), 29.70°, intensity 95; (5 1 -1), 35.14°, intensity 368; (1 1 2), 35.83°, intensity 420; (5 1 0), 36.03°, intensity 108; (4 0 -3), 40.19°, intensity 335; (0 2 0), 41.71°, intensity 1000; (4 2 -3), 59.30°, intensity 183; (6 2 1), 60.47°, intensity 230